This entry pairs a crystal structure of Zn3Cr3As4O16 with its theoretical PXRD pattern. Radiation: Cu Kα X-rays. Structure: the PBE+U geometry in the Materials Project.

Cell and atoms:
a b c (Å): 8.803 5.260 16.064
angles (deg): 90.00 111.52 90.00
Space group P2_1/c (No. 14)
Symmetry-distinct sites (fractional):
Zn: 0.000 0.000 0.000 (multiplicity 2)
Zn: 0.274 0.026 0.269 (multiplicity 4)
Cr: 0.210 0.008 0.879 (multiplicity 4)
Cr: 0.500 0.000 0.500 (multiplicity 2)
As: 0.036 0.015 0.649 (multiplicity 4)
As: 0.416 0.002 0.104 (multiplicity 4)
O: 0.031 0.689 0.637 (multiplicity 4)
O: 0.083 0.183 0.573 (multiplicity 4)
O: 0.153 0.608 0.846 (multiplicity 4)
O: 0.186 0.108 0.752 (multiplicity 4)
O: 0.242 0.557 0.510 (multiplicity 4)
O: 0.396 0.594 0.700 (multiplicity 4)
O: 0.436 0.201 0.911 (multiplicity 4)
O: 0.498 0.200 0.608 (multiplicity 4)

Top 12 peaks for 10° ≤ 2θ ≤ 90°, in order of rising 2θ:
Position (°2θ)	d (Å)	I/Imax	(hkl)
17.88	4.962	317	0 1 1
22.05	4.031	259	1 1 1
24.11	3.692	276	1 1 -3
26.48	3.366	698	2 1 -1
28.44	3.138	323	2 0 2
29.54	3.024	1000	1 1 3
32.66	2.742	591	1 1 -5
34.09	2.630	676	0 2 0
34.62	2.591	257	2 0 -6
35.53	2.526	769	3 1 -3
58.27	1.583	339	2 1 7
61.96	1.498	249	3 3 -3